1.
Calculated X-ray diffraction stick pattern
Compound: Sr5N2
Radiation: Cu Kα X-rays
Structure: a structure optimized by DFT (GGA-PBE)

Principal peaks in the range 15° ≤ 2θ ≤ 90°, sorted by position:
Position (°2θ)  Rel. int.
21.14  41
25.46  100
25.90  96
26.49  40
27.95  58
28.19  42
40.34  41
41.79  37

Atomic structure:
Lattice parameters (Å, degrees): 10.3641 10.3641 6.9734 94.98 94.98 46.01
Atoms (fractional coordinates):
1 Sr 0.0438 0.9562 0.7500
2 Sr 0.0985 0.2570 0.3216
3 Sr 0.2451 0.5418 0.0988
4 Sr 0.2570 0.0985 0.8216
5 Sr 0.4582 0.7549 0.4012
6 Sr 0.5418 0.2451 0.5988
7 Sr 0.7430 0.9015 0.1784
8 Sr 0.7549 0.4582 0.9012
9 Sr 0.9015 0.7430 0.6784
10 Sr 0.9562 0.0438 0.2500
11 N 0.0178 0.1805 0.0150
12 N 0.1805 0.0178 0.5150
13 N 0.8195 0.9822 0.4850
14 N 0.9822 0.8195 0.9850



2.
Calculated X-ray diffraction stick pattern
Compound: K3Pu2O4F3
Radiation: Cu Kα X-rays
Structure: a structure optimized by DFT (GGA-PBE)

Principal peaks in the range 15° ≤ 2θ ≤ 90°, sorted by position:
Position (°2θ)  Rel. int.
15.37  85
19.45  82
21.12  72
27.22  95
28.33  100
28.46  88
48.72  48
48.95  43

Atomic structure:
Lattice parameters (Å, degrees): 11.9547 11.9547 11.9547 159.38 157.55 30.67
Atoms (fractional coordinates):
1 K 0.0000 0.0000 0.0000
2 K 0.1967 0.1967 0.0000
3 K 0.8033 0.8033 0.0000
4 Pu 0.3968 0.3968 0.0000
5 Pu 0.6032 0.6032 0.0000
6 O 0.3101 0.3101 0.0000
7 O 0.4052 0.9052 0.5000
8 O 0.5948 0.0948 0.5000
9 O 0.6899 0.6899 0.0000
10 F 0.0900 0.5900 0.5000
11 F 0.5000 0.5000 0.0000
12 F 0.9100 0.4100 0.5000



3.
Calculated X-ray diffraction stick pattern
Compound: La2Tb3CeSm6
Radiation: Cu Kα X-rays
Structure: a structure optimized by DFT (GGA-PBE)

Principal peaks in the range 15° ≤ 2θ ≤ 90°, sorted by position:
Position (°2θ)  Rel. int.
30.20  100
35.01  51
50.35  36
59.83  39
62.80  12
81.92  12
84.50  11
84.60  5

Atomic structure:
Lattice parameters (Å, degrees): 6.2814 6.2814 12.0177 95.03 95.03 120.05
Atoms (fractional coordinates):
1 La 0.1663 0.8337 0.0000
2 La 0.8337 0.1663 0.0000
3 Tb 0.0000 0.0000 0.5000
4 Tb 0.3334 0.6666 0.5000
5 Tb 0.6666 0.3334 0.5000
6 Ce 0.5000 0.5000 0.0000
7 Sm 0.0859 0.4160 0.7472
8 Sm 0.2539 0.2539 0.2530
9 Sm 0.4160 0.0859 0.7472
10 Sm 0.5840 0.9141 0.2528
11 Sm 0.7461 0.7461 0.7470
12 Sm 0.9141 0.5840 0.2528



4.
Calculated X-ray diffraction stick pattern
Compound: LaPmZn2In2
Radiation: Cu Kα X-rays
Structure: a structure optimized by DFT (GGA-PBE)

Principal peaks in the range 15° ≤ 2θ ≤ 90°, sorted by position:
Position (°2θ)  Rel. int.
31.78  100
37.83  63
50.21  27
61.94  24
64.54  27
68.31  11
87.13  9
89.45  12

Atomic structure:
Lattice parameters (Å, degrees): 4.7568 4.7568 7.7147 90.00 90.00 120.00
Atoms (fractional coordinates):
1 La 0.0000 0.0000 0.0000
2 Pm 0.0000 0.0000 0.5000
3 Zn 0.3333 0.6667 0.2809
4 Zn 0.6667 0.3333 0.7191
5 In 0.3333 0.6667 0.7371
6 In 0.6667 0.3333 0.2629



5.
Calculated X-ray diffraction stick pattern
Compound: Sr2ZnPtAu6
Radiation: Cu Kα X-rays
Structure: a structure optimized by DFT (GGA-PBE)

Principal peaks in the range 15° ≤ 2θ ≤ 90°, sorted by position:
Position (°2θ)  Rel. int.
17.55  49
30.65  90
35.53  100
39.88  21
51.09  36
51.17  35
60.76  23
86.05  22

Atomic structure:
Lattice parameters (Å, degrees): 7.1440 7.1440 7.1341 119.92 119.92 60.13
Atoms (fractional coordinates):
1 Sr 0.2500 0.2500 0.2498
2 Sr 0.7500 0.7500 0.7502
3 Zn 0.0000 0.0000 0.5000
4 Pt 0.5000 0.5000 0.0000
5 Au 0.2434 0.2434 0.7434
6 Au 0.2434 0.7566 0.2566
7 Au 0.2434 0.7566 0.7434
8 Au 0.7566 0.2434 0.2566
9 Au 0.7566 0.2434 0.7434
10 Au 0.7566 0.7566 0.2566



6.
Calculated X-ray diffraction stick pattern
Compound: AgWSeN2
Radiation: Cu Kα X-rays
Structure: a structure optimized by DFT (GGA-PBE)

Principal peaks in the range 15° ≤ 2θ ≤ 90°, sorted by position:
Position (°2θ)  Rel. int.
22.79  40
28.19  100
32.45  91
33.10  58
46.55  44
47.03  66
55.31  30
58.30  44

Atomic structure:
Lattice parameters (Å, degrees): 3.9023 3.9023 5.4126 90.00 90.00 90.00
Atoms (fractional coordinates):
1 Ag 0.0000 0.0000 0.0000
2 W 0.5000 0.5000 0.5000
3 Se 0.5000 0.5000 0.0000
4 N 0.0000 0.5000 0.5000
5 N 0.5000 0.0000 0.5000



7.
Calculated X-ray diffraction stick pattern
Compound: Rb2Tl5Te4
Radiation: Cu Kα X-rays
Structure: a structure optimized by DFT (GGA-PBE)

Principal peaks in the range 15° ≤ 2θ ≤ 90°, sorted by position:
Position (°2θ)  Rel. int.
15.08  61
23.38  37
26.05  71
28.54  75
30.05  100
33.78  46
35.53  61
42.35  31

Atomic structure:
Lattice parameters (Å, degrees): 11.9038 9.2146 8.9234 82.02 50.05 47.93
Atoms (fractional coordinates):
1 Rb 0.1753 0.1753 0.8247
2 Rb 0.8247 0.8247 0.1753
3 Tl 0.0000 0.0000 0.5000
4 Tl 0.2500 0.2500 0.2500
5 Tl 0.5000 0.5000 0.0000
6 Tl 0.5000 0.5000 0.5000
7 Tl 0.7500 0.7500 0.7500
8 Te 0.2320 0.4900 0.5100
9 Te 0.4900 0.2320 0.7680
10 Te 0.5100 0.7680 0.2320
11 Te 0.7680 0.5100 0.4900



8.
Calculated X-ray diffraction stick pattern
Compound: GaNi6Au
Radiation: Cu Kα X-rays
Structure: a structure optimized by DFT (GGA-PBE)

Principal peaks in the range 15° ≤ 2θ ≤ 90°, sorted by position:
Position (°2θ)  Rel. int.
24.37  10
42.99  100
49.94  32
50.31  16
73.32  9
73.61  19
88.94  23
89.50  12

Atomic structure:
Lattice parameters (Å, degrees): 6.3114 6.3114 10.3300 90.00 90.00 109.84
Atoms (fractional coordinates):
1 Ga 0.0000 0.0000 0.2467
2 Ga 0.0000 0.0000 0.7533
3 Ga 0.2524 0.7476 0.0000
4 Ga 0.7476 0.2524 0.0000
5 Ni 0.0000 0.0000 0.0000
6 Ni 0.0000 0.0000 0.5000
7 Ni 0.1185 0.3716 0.1210
8 Ni 0.1185 0.3716 0.8790
9 Ni 0.1203 0.3663 0.3705
10 Ni 0.1203 0.3663 0.6295
11 Ni 0.2462 0.7538 0.2432
12 Ni 0.2462 0.7538 0.7568
13 Ni 0.3663 0.1203 0.3705
14 Ni 0.3663 0.1203 0.6295
15 Ni 0.3716 0.1185 0.1210
16 Ni 0.3716 0.1185 0.8790
17 Ni 0.5000 0.5000 0.0000
18 Ni 0.5000 0.5000 0.5000
19 Ni 0.6284 0.8815 0.1210
20 Ni 0.6284 0.8815 0.8790
21 Ni 0.6337 0.8797 0.3705
22 Ni 0.6337 0.8797 0.6295
23 Ni 0.7538 0.2462 0.2432
24 Ni 0.7538 0.2462 0.7568
25 Ni 0.8797 0.6337 0.3705
26 Ni 0.8797 0.6337 0.6295
27 Ni 0.8815 0.6284 0.1210
28 Ni 0.8815 0.6284 0.8790
29 Au 0.2527 0.7473 0.5000
30 Au 0.5000 0.5000 0.2485
31 Au 0.5000 0.5000 0.7515
32 Au 0.7473 0.2527 0.5000



Which formula does entry 2 have?
K3Pu2O4F3